For Y2OsPd, a DFT-relaxed cell (GGA-PBE, Alexandria) gives the computed X-ray powder pattern in this record (Cu Kα X-rays).

Peak list (6 most intense, 10° ≤ 2θ ≤ 90°, in order of falling intensity)
two_theta	Rel. int.
36.56	1000
36.88	492
66.23	345
65.60	174
53.15	171
12.62	109

Crystal structure
```
data_Y2OsPd
_chemical_formula_sum 'Y2 Os1 Pd1'
_cell_length_a 3.447
_cell_length_b 3.447
_cell_length_c 7.012
_cell_angle_alpha 90.00
_cell_angle_beta 90.00
_cell_angle_gamma 90.00
_space_group_name_H-M_alt 'P 4/m m m'
_space_group_IT_number 123
_space_group_name_Hall '-P 4 2'
loop_
_atom_site_label
_atom_site_type_symbol
_atom_site_fract_x
_atom_site_fract_y
_atom_site_fract_z
Y1 Y 0.000 0.000 0.238
Os1 Os 0.500 0.500 0.000
Pd1 Pd 0.500 0.500 0.500
```